# NaCuB2S4
Calculated X-ray diffraction stick pattern, Cu Kα, 1.54184 Å. Input: a cell relaxed with PBE.
Kinematic intensities with the Lorentz-polarization factor, no thermal factor.

Peak list (12 most intense, 10 to 80 degrees two-theta, in order of rising 2θ)
- 13.9 deg, intensity 75
- 14.7 deg, intensity 100
- 21.2 deg, intensity 15
- 27.6 deg, intensity 85
- 29.9 deg, intensity 15
- 32.1 deg, intensity 52
- 38.3 deg, intensity 34
- 38.5 deg, intensity 23
- 42.6 deg, intensity 11
- 44.2 deg, intensity 14
- 47.4 deg, intensity 18
- 50.9 deg, intensity 20

Atomic structure:
a = 7.4453 Å, b = 7.4453 Å, c = 7.4453 Å
α = 145.13°, β = 119.61°, γ = 71.67°
Fractional coordinates of all 8 atoms:
1 Na 0.0000 0.0000 0.0000
2 Cu 0.5000 0.0000 0.5000
3 B 0.3018 0.5000 0.8018
4 B 0.6982 0.5000 0.1982
5 S 0.1790 0.1618 0.5663
6 S 0.4045 0.8382 0.0172
7 S 0.5955 0.6127 0.4337
8 S 0.8210 0.3873 0.9828

# Rb4ThSe4
Calculated X-ray diffraction stick pattern, Cu Kα, 1.54184 Å. Input: a cell relaxed with PBE.
Kinematic intensities with the Lorentz-polarization factor, no thermal factor.

Peak list (12 most intense, 10 to 80 degrees two-theta, in order of rising 2θ)
- 11.1 deg, intensity 52
- 23.6 deg, intensity 13
- 26.6 deg, intensity 100
- 27.0 deg, intensity 47
- 30.5 deg, intensity 22
- 31.5 deg, intensity 12
- 36.7 deg, intensity 22
- 37.8 deg, intensity 31
- 38.6 deg, intensity 33
- 39.1 deg, intensity 21
- 48.2 deg, intensity 19
- 70.1 deg, intensity 12

Atomic structure:
a = 8.4696 Å, b = 8.4696 Å, c = 11.6623 Å
α = 120.31°, β = 120.31°, γ = 31.54°
Fractional coordinates of all 9 atoms:
1 Rb 0.1275 0.1275 0.4029
2 Rb 0.2965 0.2965 0.1716
3 Rb 0.7035 0.7035 0.8284
4 Rb 0.8725 0.8725 0.5971
5 Th 0.5000 0.5000 0.0000
6 Se 0.0680 0.0680 0.9032
7 Se 0.3149 0.3149 0.7455
8 Se 0.6851 0.6851 0.2545
9 Se 0.9320 0.9320 0.0968

# TbSmHoCd
Calculated X-ray diffraction stick pattern, Cu Kα, 1.54184 Å. Input: a cell relaxed with PBE.
Kinematic intensities with the Lorentz-polarization factor, no thermal factor.

Peak list (12 most intense, 10 to 80 degrees two-theta, in order of rising 2θ)
- 26.6 deg, intensity 4
- 31.7 deg, intensity 100
- 35.2 deg, intensity 40
- 39.8 deg, intensity 11
- 46.6 deg, intensity 4
- 50.6 deg, intensity 14
- 54.2 deg, intensity 18
- 56.9 deg, intensity 4
- 60.9 deg, intensity 31
- 66.2 deg, intensity 10
- 67.3 deg, intensity 7
- 74.3 deg, intensity 5

Atomic structure:
a = 3.6089 Å, b = 3.6089 Å, c = 9.0507 Å
α = 90.00°, β = 90.00°, γ = 90.00°
Fractional coordinates of all 4 atoms:
1 Tb 0.0000 0.0000 0.0000
2 Sm 0.5000 0.5000 0.2772
3 Ho 0.0000 0.0000 0.5522
4 Cd 0.5000 0.5000 0.7732

# LaHfAg
Calculated X-ray diffraction stick pattern, Cu Kα, 1.54184 Å. Input: a cell relaxed with PBE.
Kinematic intensities with the Lorentz-polarization factor, no thermal factor.

Peak list (12 most intense, 10 to 80 degrees two-theta, in order of rising 2θ)
- 18.2 deg, intensity 19
- 29.8 deg, intensity 67
- 30.2 deg, intensity 21
- 34.8 deg, intensity 38
- 35.0 deg, intensity 39
- 35.1 deg, intensity 100
- 35.4 deg, intensity 59
- 36.5 deg, intensity 46
- 37.0 deg, intensity 49
- 56.0 deg, intensity 20
- 56.8 deg, intensity 35
- 61.8 deg, intensity 35

Atomic structure:
a = 6.0044 Å, b = 6.0044 Å, c = 6.0044 Å
α = 120.96°, β = 89.25°, γ = 119.91°
Fractional coordinates of all 6 atoms:
1 La 0.1284 0.2500 0.3784
2 La 0.8716 0.7500 0.6216
3 Hf 0.4960 0.9627 0.0333
4 Hf 0.9294 0.4627 0.9667
5 Ag 0.4587 0.4587 0.0000
6 Ag 0.4587 0.9587 0.5000

# Cs2RbBi2Pb
Calculated X-ray diffraction stick pattern, Cu Kα, 1.54184 Å. Input: a cell relaxed with PBE.
Kinematic intensities with the Lorentz-polarization factor, no thermal factor.

Peak list (12 most intense, 10 to 80 degrees two-theta, in order of rising 2θ)
- 10.0 deg, intensity 30
- 11.2 deg, intensity 42
- 18.1 deg, intensity 14
- 22.5 deg, intensity 18
- 25.2 deg, intensity 50
- 28.6 deg, intensity 38
- 30.3 deg, intensity 100
- 34.0 deg, intensity 21
- 38.4 deg, intensity 26
- 41.0 deg, intensity 15
- 43.7 deg, intensity 16
- 51.7 deg, intensity 16

Atomic structure:
a = 10.6504 Å, b = 10.6504 Å, c = 10.6504 Å
α = 131.02°, β = 67.77°, γ = 136.22°
Fractional coordinates of all 12 atoms:
1 Cs 0.1741 0.2170 0.3911
2 Cs 0.3259 0.7170 0.0430
3 Cs 0.6741 0.2830 0.9570
4 Cs 0.8259 0.7830 0.6089
5 Rb 0.2500 0.7500 0.5000
6 Rb 0.7500 0.2500 0.5000
7 Bi 0.1022 0.7985 0.9008
8 Bi 0.3978 0.2985 0.6963
9 Bi 0.6022 0.7015 0.3037
10 Bi 0.8978 0.2015 0.0992
11 Pb 0.2500 0.2500 0.0000
12 Pb 0.7500 0.7500 0.0000

# Zr2Cd5Ag2
Calculated X-ray diffraction stick pattern, Cu Kα, 1.54184 Å. Input: a cell relaxed with PBE.
Kinematic intensities with the Lorentz-polarization factor, no thermal factor.

Peak list (12 most intense, 10 to 80 degrees two-theta, in order of rising 2θ)
- 22.3 deg, intensity 14
- 30.8 deg, intensity 70
- 31.8 deg, intensity 20
- 36.9 deg, intensity 100
- 37.3 deg, intensity 24
- 37.6 deg, intensity 44
- 39.2 deg, intensity 26
- 40.4 deg, intensity 21
- 42.9 deg, intensity 27
- 58.3 deg, intensity 17
- 59.9 deg, intensity 18
- 71.0 deg, intensity 15

Atomic structure:
a = 9.3395 Å, b = 8.9545 Å, c = 4.9881 Å
α = 78.48°, β = 69.96°, γ = 31.56°
Fractional coordinates of all 9 atoms:
1 Zr 0.2468 0.2468 0.7532
2 Zr 0.7532 0.7532 0.2468
3 Cd 0.1385 0.1385 0.3615
4 Cd 0.3615 0.3615 0.1385
5 Cd 0.5000 0.5000 0.5000
6 Cd 0.6385 0.6385 0.8615
7 Cd 0.8615 0.8615 0.6385
8 Ag 0.1634 0.8366 0.1634
9 Ag 0.8366 0.1634 0.8366

# Ca5LaBi5
Calculated X-ray diffraction stick pattern, Cu Kα, 1.54184 Å. Input: a cell relaxed with PBE.
Kinematic intensities with the Lorentz-polarization factor, no thermal factor.

Peak list (12 most intense, 10 to 80 degrees two-theta, in order of rising 2θ)
- 10.3 deg, intensity 17
- 15.0 deg, intensity 24
- 22.9 deg, intensity 35
- 24.1 deg, intensity 31
- 27.0 deg, intensity 100
- 27.6 deg, intensity 48
- 37.0 deg, intensity 20
- 39.0 deg, intensity 74
- 40.0 deg, intensity 17
- 46.7 deg, intensity 33
- 49.3 deg, intensity 19
- 64.1 deg, intensity 17

Atomic structure:
a = 8.2935 Å, b = 8.2935 Å, c = 9.0088 Å
α = 105.88°, β = 105.88°, γ = 45.95°
Fractional coordinates of all 11 atoms:
1 Ca 0.0000 0.0000 0.0000
2 Ca 0.3183 0.3183 0.6407
3 Ca 0.3226 0.3226 0.1779
4 Ca 0.6774 0.6774 0.8221
5 Ca 0.6817 0.6817 0.3593
6 La 0.0000 0.0000 0.5000
7 Bi 0.1550 0.1550 0.3179
8 Bi 0.1643 0.1643 0.8395
9 Bi 0.5000 0.5000 0.5000
10 Bi 0.8357 0.8357 0.1605
11 Bi 0.8450 0.8450 0.6821

# Ac5Pm2Pr3
Calculated X-ray diffraction stick pattern, Cu Kα, 1.54184 Å. Input: a cell relaxed with PBE.
Kinematic intensities with the Lorentz-polarization factor, no thermal factor.

Peak list (12 most intense, 10 to 80 degrees two-theta, in order of rising 2θ)
- 28.4 deg, intensity 100
- 32.8 deg, intensity 17
- 32.9 deg, intensity 17
- 33.1 deg, intensity 17
- 47.2 deg, intensity 12
- 47.4 deg, intensity 19
- 55.9 deg, intensity 8
- 55.9 deg, intensity 7
- 56.1 deg, intensity 15
- 56.3 deg, intensity 15
- 58.9 deg, intensity 10
- 76.5 deg, intensity 8

Atomic structure:
a = 5.4080 Å, b = 6.6576 Å, c = 12.2160 Å
α = 90.05°, β = 90.06°, γ = 113.94°
Fractional coordinates of all 10 atoms:
1 Ac 0.0000 0.0000 0.0000
2 Ac 0.1027 0.2060 0.2948
3 Ac 0.1953 0.3906 0.6029
4 Ac 0.8047 0.6094 0.3971
5 Ac 0.8973 0.7940 0.7052
6 Pm 0.2961 0.5922 0.9050
7 Pm 0.7039 0.4078 0.0950
8 Pr 0.3997 0.8006 0.1951
9 Pr 0.5000 0.0000 0.5000
10 Pr 0.6003 0.1994 0.8049

# CsK5I7
Calculated X-ray diffraction stick pattern, Cu Kα, 1.54184 Å. Input: a cell relaxed with PBE.
Kinematic intensities with the Lorentz-polarization factor, no thermal factor.

Peak list (12 most intense, 10 to 80 degrees two-theta, in order of rising 2θ)
- 20.1 deg, intensity 16
- 21.7 deg, intensity 14
- 23.8 deg, intensity 100
- 24.0 deg, intensity 87
- 24.8 deg, intensity 81
- 33.4 deg, intensity 54
- 34.5 deg, intensity 53
- 34.7 deg, intensity 26
- 36.2 deg, intensity 41
- 42.5 deg, intensity 40
- 55.3 deg, intensity 13
- 55.7 deg, intensity 14

Atomic structure:
a = 9.1120 Å, b = 9.1120 Å, c = 28.6388 Å
α = 90.09°, β = 90.09°, γ = 33.14°
Fractional coordinates of all 26 atoms:
1 Cs 0.0000 0.0000 0.0000
2 Cs 0.6072 0.6072 0.5017
3 K 0.0764 0.0764 0.6777
4 K 0.0771 0.0771 0.3240
5 K 0.2761 0.2761 0.1057
6 K 0.2759 0.2759 0.8957
7 K 0.3321 0.3321 0.3959
8 K 0.3315 0.3315 0.6060
9 K 0.5311 0.5311 0.1775
10 K 0.5311 0.5311 0.8243
11 K 0.8043 0.8043 0.2505
12 K 0.8038 0.8038 0.7511
13 I 0.1672 0.1672 0.7913
14 I 0.1675 0.1675 0.2101
15 I 0.2538 0.2538 0.5009
16 I 0.3534 0.3534 0.0008
17 I 0.4402 0.4402 0.7108
18 I 0.4406 0.4406 0.2911
19 I 0.6443 0.6443 0.0576
20 I 0.6445 0.6445 0.9430
21 I 0.7035 0.7035 0.6446
22 I 0.7042 0.7042 0.3570
23 I 0.9043 0.9043 0.1440
24 I 0.9043 0.9043 0.8577
25 I 0.9635 0.9635 0.4439
26 I 0.9630 0.9630 0.5588

# La7PrTl2
Calculated X-ray diffraction stick pattern, Cu Kα, 1.54184 Å. Input: a cell relaxed with PBE.
Kinematic intensities with the Lorentz-polarization factor, no thermal factor.

Peak list (12 most intense, 10 to 80 degrees two-theta, in order of rising 2θ)
- 10.9 deg, intensity 24
- 15.9 deg, intensity 59
- 18.7 deg, intensity 34
- 19.2 deg, intensity 28
- 27.1 deg, intensity 39
- 29.0 deg, intensity 61
- 32.1 deg, intensity 55
- 33.0 deg, intensity 66
- 33.3 deg, intensity 100
- 43.7 deg, intensity 40
- 57.9 deg, intensity 20
- 58.8 deg, intensity 25

Atomic structure:
a = 9.4083 Å, b = 9.4083 Å, c = 5.5836 Å
α = 90.00°, β = 90.00°, γ = 119.52°
Fractional coordinates of all 10 atoms:
1 La 0.0000 0.0000 0.0000
2 La 0.2012 0.4431 0.0000
3 La 0.2743 0.7257 0.5000
4 La 0.4431 0.2012 0.0000
5 La 0.5569 0.7988 0.0000
6 La 0.7257 0.2743 0.5000
7 La 0.7988 0.5569 0.0000
8 Pr 0.5000 0.5000 0.5000
9 Tl 0.1932 0.8068 0.0000
10 Tl 0.8068 0.1932 0.0000

# La3IrPbBr
Calculated X-ray diffraction stick pattern, Cu Kα, 1.54184 Å. Input: a cell relaxed with PBE.
Kinematic intensities with the Lorentz-polarization factor, no thermal factor.

Peak list (12 most intense, 10 to 80 degrees two-theta, in order of rising 2θ)
- 23.4 deg, intensity 30
- 26.3 deg, intensity 63
- 27.0 deg, intensity 31
- 29.4 deg, intensity 100
- 30.6 deg, intensity 42
- 31.0 deg, intensity 80
- 32.1 deg, intensity 67
- 33.2 deg, intensity 59
- 34.3 deg, intensity 56
- 39.3 deg, intensity 84
- 44.6 deg, intensity 33
- 52.4 deg, intensity 33

Atomic structure:
a = 8.1205 Å, b = 4.5880 Å, c = 10.5887 Å
α = 90.00°, β = 110.78°, γ = 90.00°
Fractional coordinates of all 12 atoms:
1 La 0.0240 0.2500 0.3582
2 La 0.2016 0.2500 0.9918
3 La 0.4213 0.7500 0.6068
4 La 0.5787 0.2500 0.3932
5 La 0.7984 0.7500 0.0082
6 La 0.9760 0.7500 0.6418
7 Ir 0.2242 0.2500 0.6283
8 Ir 0.7758 0.7500 0.3717
9 Pb 0.2351 0.7500 0.2339
10 Pb 0.7649 0.2500 0.7661
11 Br 0.3667 0.7500 0.8856
12 Br 0.6333 0.2500 0.1144

# Ac3Sb2Te3
Calculated X-ray diffraction stick pattern, Cu Kα, 1.54184 Å. Input: a cell relaxed with PBE.
Kinematic intensities with the Lorentz-polarization factor, no thermal factor.

Peak list (12 most intense, 10 to 80 degrees two-theta, in order of rising 2θ)
- 10.1 deg, intensity 18
- 17.6 deg, intensity 18
- 22.4 deg, intensity 25
- 27.7 deg, intensity 25
- 30.4 deg, intensity 60
- 30.7 deg, intensity 100
- 33.0 deg, intensity 79
- 39.8 deg, intensity 23
- 41.8 deg, intensity 25
- 45.7 deg, intensity 24
- 57.7 deg, intensity 20
- 66.3 deg, intensity 22

Atomic structure:
a = 10.0846 Å, b = 10.0846 Å, c = 6.4425 Å
α = 90.00°, β = 90.00°, γ = 120.00°
Fractional coordinates of all 16 atoms:
1 Ac 0.0000 0.3720 0.2500
2 Ac 0.0000 0.6280 0.7500
3 Ac 0.3720 0.0000 0.2500
4 Ac 0.3720 0.3720 0.7500
5 Ac 0.6280 0.0000 0.7500
6 Ac 0.6280 0.6280 0.2500
7 Sb 0.3333 0.6667 0.0000
8 Sb 0.3333 0.6667 0.5000
9 Sb 0.6667 0.3333 0.0000
10 Sb 0.6667 0.3333 0.5000
11 Te 0.0000 0.2771 0.7500
12 Te 0.0000 0.7229 0.2500
13 Te 0.2771 0.0000 0.7500
14 Te 0.2771 0.2771 0.2500
15 Te 0.7229 0.0000 0.2500
16 Te 0.7229 0.7229 0.7500

Please write out number 4 again, unchanged.
# LaHfAg
Calculated X-ray diffraction stick pattern, Cu Kα, 1.54184 Å. Input: a cell relaxed with PBE.
Kinematic intensities with the Lorentz-polarization factor, no thermal factor.

Peak list (12 most intense, 10 to 80 degrees two-theta, in order of rising 2θ)
- 18.2 deg, intensity 19
- 29.8 deg, intensity 67
- 30.2 deg, intensity 21
- 34.8 deg, intensity 38
- 35.0 deg, intensity 39
- 35.1 deg, intensity 100
- 35.4 deg, intensity 59
- 36.5 deg, intensity 46
- 37.0 deg, intensity 49
- 56.0 deg, intensity 20
- 56.8 deg, intensity 35
- 61.8 deg, intensity 35

Atomic structure:
a = 6.0044 Å, b = 6.0044 Å, c = 6.0044 Å
α = 120.96°, β = 89.25°, γ = 119.91°
Fractional coordinates of all 6 atoms:
1 La 0.1284 0.2500 0.3784
2 La 0.8716 0.7500 0.6216
3 Hf 0.4960 0.9627 0.0333
4 Hf 0.9294 0.4627 0.9667
5 Ag 0.4587 0.4587 0.0000
6 Ag 0.4587 0.9587 0.5000

Please write out number 8 again, unchanged.
# Ac5Pm2Pr3
Calculated X-ray diffraction stick pattern, Cu Kα, 1.54184 Å. Input: a cell relaxed with PBE.
Kinematic intensities with the Lorentz-polarization factor, no thermal factor.

Peak list (12 most intense, 10 to 80 degrees two-theta, in order of rising 2θ)
- 28.4 deg, intensity 100
- 32.8 deg, intensity 17
- 32.9 deg, intensity 17
- 33.1 deg, intensity 17
- 47.2 deg, intensity 12
- 47.4 deg, intensity 19
- 55.9 deg, intensity 8
- 55.9 deg, intensity 7
- 56.1 deg, intensity 15
- 56.3 deg, intensity 15
- 58.9 deg, intensity 10
- 76.5 deg, intensity 8

Atomic structure:
a = 5.4080 Å, b = 6.6576 Å, c = 12.2160 Å
α = 90.05°, β = 90.06°, γ = 113.94°
Fractional coordinates of all 10 atoms:
1 Ac 0.0000 0.0000 0.0000
2 Ac 0.1027 0.2060 0.2948
3 Ac 0.1953 0.3906 0.6029
4 Ac 0.8047 0.6094 0.3971
5 Ac 0.8973 0.7940 0.7052
6 Pm 0.2961 0.5922 0.9050
7 Pm 0.7039 0.4078 0.0950
8 Pr 0.3997 0.8006 0.1951
9 Pr 0.5000 0.0000 0.5000
10 Pr 0.6003 0.1994 0.8049